# 1
This entry pairs a crystal structure of CeGePtRh with its computed powder X-ray diffraction pattern. Radiation: Cu Kα. Structure: a DFT-relaxed cell (PBE, Alexandria).
Neutral-atom scattering factors, no anomalous dispersion.

Most intense lines, 10 to 90 degrees two-theta, by intensity:
Position (°2θ)  intensity
31.5  100
33.4  92
34.1  76
35.9  56
44.2  40
24.2  38
58.3  38
56.9  35
46.3  35
48.2  33

Crystal structure
a = 3.926 Å, b = 4.101 Å, c = 10.629 Å
α = 90.00°, β = 90.00°, γ = 90.00°
Atoms (fractional coordinates):
Ce 0.000 0.000 0.000
Ce 0.500 0.500 0.500
Ge 0.000 0.500 0.246
Ge 0.500 0.000 0.746
Pt 0.000 0.000 0.368
Pt 0.500 0.500 0.868
Rh 0.000 0.000 0.617
Rh 0.500 0.500 0.117

# 2
This entry pairs a crystal structure of Ce2Ge3PtRh4 with its computed powder X-ray diffraction pattern. Radiation: Cu Kα. Structure: a DFT-relaxed cell (PBE, Alexandria).
Neutral-atom scattering factors, no anomalous dispersion.

Most intense lines, 10 to 90 degrees two-theta, by intensity:
Position (°2θ)  intensity
35.3  100
45.2  43
32.4  27
76.9  21
45.7  18
45.1  17
65.8  14
66.2  12
56.7  11
31.4  10

Crystal structure
a = 4.015 Å, b = 4.015 Å, c = 11.411 Å
α = 90.00°, β = 90.00°, γ = 90.00°
Atoms (fractional coordinates):
Ce 0.000 0.500 0.231
Ce 0.500 0.000 0.769
Ge 0.000 0.000 0.000
Ge 0.000 0.500 0.622
Ge 0.500 0.000 0.378
Pt 0.500 0.500 0.000
Rh 0.000 0.000 0.500
Rh 0.000 0.500 0.833
Rh 0.500 0.000 0.167
Rh 0.500 0.500 0.500

# 3
This entry pairs a crystal structure of Ce2Ge4Pt3Rh with its computed powder X-ray diffraction pattern. Radiation: Cu Kα. Structure: a DFT-relaxed cell (PBE, Alexandria).
Neutral-atom scattering factors, no anomalous dispersion.

Most intense lines, 10 to 90 degrees two-theta, by intensity:
Position (°2θ)  intensity
34.3  100
42.0  79
33.5  73
46.3  37
54.8  36
49.2  32
60.9  26
66.7  26
71.8  23
30.7  22

Crystal structure
a = 4.300 Å, b = 4.300 Å, c = 10.250 Å
α = 90.00°, β = 90.00°, γ = 90.00°
Atoms (fractional coordinates):
Ce 0.000 0.500 0.250
Ce 0.500 0.000 0.750
Ge 0.000 0.000 0.000
Ge 0.000 0.500 0.631
Ge 0.500 0.000 0.369
Ge 0.500 0.500 0.000
Pt 0.000 0.500 0.871
Pt 0.500 0.000 0.129
Pt 0.500 0.500 0.500
Rh 0.000 0.000 0.500

# 4
This entry pairs a crystal structure of Ce2VGe4Pt3 with its computed powder X-ray diffraction pattern. Radiation: Cu Kα. Structure: a DFT-relaxed cell (PBE, Alexandria).
Neutral-atom scattering factors, no anomalous dispersion.

Most intense lines, 10 to 90 degrees two-theta, by intensity:
Position (°2θ)  intensity
34.3  100
33.2  90
42.2  83
54.7  43
48.5  39
45.9  37
66.3  31
27.0  28
61.3  27
29.5  26

Crystal structure
a = 4.279 Å, b = 4.279 Å, c = 10.431 Å
α = 90.00°, β = 90.00°, γ = 90.00°
Atoms (fractional coordinates):
Ce 0.000 0.500 0.249
Ce 0.500 0.000 0.751
V 0.500 0.500 0.000
Ge 0.000 0.000 0.500
Ge 0.000 0.500 0.866
Ge 0.500 0.000 0.134
Ge 0.500 0.500 0.500
Pt 0.000 0.000 0.000
Pt 0.000 0.500 0.628
Pt 0.500 0.000 0.372

# 5
This entry pairs a crystal structure of CeYGe4Pt4 with its computed powder X-ray diffraction pattern. Radiation: Cu Kα. Structure: a DFT-relaxed cell (PBE, Alexandria).
Neutral-atom scattering factors, no anomalous dispersion.

Most intense lines, 10 to 90 degrees two-theta, by intensity:
Position (°2θ)  intensity
34.1  100
41.5  81
33.7  59
46.6  49
30.4  35
49.9  29
60.1  27
70.9  25
54.5  23
27.1  17

Crystal structure
a = 4.356 Å, b = 4.355 Å, c = 10.067 Å
α = 90.00°, β = 90.14°, γ = 90.00°
Atoms (fractional coordinates):
Ce 0.000 0.000 0.000
Y 0.499 0.500 0.498
Ge 0.499 0.000 0.751
Ge 0.504 0.500 0.123
Ge 0.996 0.000 0.385
Ge 0.999 0.500 0.751
Pt 0.005 0.500 0.253
Pt 0.495 0.000 0.253
Pt 0.499 0.500 0.879
Pt 0.998 0.000 0.626

# 6
This entry pairs a crystal structure of CePu3Ge5 with its computed powder X-ray diffraction pattern. Radiation: Cu Kα. Structure: a DFT-relaxed cell (PBE, Alexandria).
Neutral-atom scattering factors, no anomalous dispersion.

Most intense lines, 10 to 90 degrees two-theta, by intensity:
Position (°2θ)  intensity
35.6  100
36.2  97
25.2  62
34.7  45
45.8  32
73.1  25
51.7  24
64.3  23
67.3  22
29.6  21

Crystal structure
a = 8.734 Å, b = 8.734 Å, c = 6.035 Å
α = 90.00°, β = 90.00°, γ = 120.00°
Atoms (fractional coordinates):
Ce 0.000 0.000 0.000
Ce 0.000 0.000 0.500
Pu 0.000 0.379 0.250
Pu 0.000 0.621 0.750
Pu 0.379 0.000 0.250
Pu 0.379 0.379 0.750
Pu 0.621 0.000 0.750
Pu 0.621 0.621 0.250
Ge 0.000 0.296 0.750
Ge 0.000 0.704 0.250
Ge 0.296 0.000 0.750
Ge 0.296 0.296 0.250
Ge 0.333 0.667 0.000
Ge 0.333 0.667 0.500
Ge 0.667 0.333 0.000
Ge 0.667 0.333 0.500
Ge 0.704 0.000 0.250
Ge 0.704 0.704 0.750

# 7
This entry pairs a crystal structure of CePuGe2 with its computed powder X-ray diffraction pattern. Radiation: Cu Kα. Structure: a DFT-relaxed cell (PBE, Alexandria).
Neutral-atom scattering factors, no anomalous dispersion.

Most intense lines, 10 to 90 degrees two-theta, by intensity:
Position (°2θ)  intensity
33.0  100
37.1  68
37.8  67
62.6  35
61.1  29
22.6  21
23.7  21
48.5  18
70.4  18
46.1  18

Crystal structure
a = 6.148 Å, b = 7.506 Å, c = 7.870 Å
α = 90.00°, β = 90.00°, γ = 90.00°
Atoms (fractional coordinates):
Ce 0.000 0.250 0.225
Ce 0.000 0.750 0.775
Ce 0.500 0.250 0.275
Ce 0.500 0.750 0.725
Pu 0.000 0.250 0.763
Pu 0.000 0.750 0.237
Pu 0.500 0.250 0.737
Pu 0.500 0.750 0.263
Ge 0.213 0.000 0.500
Ge 0.213 0.500 0.500
Ge 0.287 0.000 0.000
Ge 0.287 0.500 0.000
Ge 0.713 0.000 0.000
Ge 0.713 0.500 0.000
Ge 0.787 0.000 0.500
Ge 0.787 0.500 0.500

# 8
This entry pairs a crystal structure of CePu6Ge6 with its computed powder X-ray diffraction pattern. Radiation: Cu Kα. Structure: a DFT-relaxed cell (PBE, Alexandria).
Neutral-atom scattering factors, no anomalous dispersion.

Most intense lines, 10 to 90 degrees two-theta, by intensity:
Position (°2θ)  intensity
40.2  100
35.5  95
18.3  86
38.3  58
33.4  56
32.9  37
34.9  36
37.1  36
52.3  29
40.8  24

Crystal structure
a = 6.088 Å, b = 6.088 Å, c = 9.683 Å
α = 90.00°, β = 90.00°, γ = 123.87°
Atoms (fractional coordinates):
Ce 0.000 0.000 0.000
Pu 0.000 0.500 0.275
Pu 0.000 0.500 0.725
Pu 0.500 0.000 0.275
Pu 0.500 0.000 0.725
Pu 0.500 0.500 0.216
Pu 0.500 0.500 0.784
Ge 0.000 0.000 0.323
Ge 0.000 0.000 0.677
Ge 0.302 0.698 0.000
Ge 0.386 0.614 0.500
Ge 0.614 0.386 0.500
Ge 0.698 0.302 0.000

# 9
This entry pairs a crystal structure of Ce5Pu2Ge5 with its computed powder X-ray diffraction pattern. Radiation: Cu Kα. Structure: a DFT-relaxed cell (PBE, Alexandria).
Neutral-atom scattering factors, no anomalous dispersion.

Most intense lines, 10 to 90 degrees two-theta, by intensity:
Position (°2θ)  intensity
34.7  100
37.3  76
35.5  69
32.7  48
24.5  48
11.1  45
44.0  42
22.7  41
50.3  31
36.8  30

Crystal structure
a = 8.297 Å, b = 8.297 Å, c = 11.087 Å
α = 126.37°, β = 126.37°, γ = 28.71°
Atoms (fractional coordinates):
Ce 0.000 0.000 0.000
Ce 0.113 0.113 0.404
Ce 0.236 0.236 0.142
Ce 0.764 0.764 0.858
Ce 0.887 0.887 0.596
Pu 0.114 0.114 0.726
Pu 0.886 0.886 0.274
Ge 0.323 0.323 0.726
Ge 0.422 0.422 0.118
Ge 0.500 0.500 0.500
Ge 0.578 0.578 0.882
Ge 0.677 0.677 0.274

# 10
This entry pairs a crystal structure of Ce4PuGe with its computed powder X-ray diffraction pattern. Radiation: Cu Kα. Structure: a DFT-relaxed cell (PBE, Alexandria).
Neutral-atom scattering factors, no anomalous dispersion.

Most intense lines, 10 to 90 degrees two-theta, by intensity:
Position (°2θ)  intensity
33.2  100
12.7  87
32.1  85
15.4  44
30.2  43
25.3  37
36.7  36
38.7  32
18.4  28
52.3  23

Crystal structure
a = 8.414 Å, b = 7.574 Å, c = 11.624 Å
α = 90.00°, β = 124.00°, γ = 90.00°
Atoms (fractional coordinates):
Ce 0.050 0.116 0.408
Ce 0.050 0.384 0.908
Ce 0.207 0.569 0.506
Ce 0.207 0.931 0.006
Ce 0.278 0.204 0.782
Ce 0.278 0.296 0.282
Ce 0.343 0.684 0.858
Ce 0.343 0.816 0.358
Ce 0.657 0.184 0.642
Ce 0.657 0.316 0.142
Ce 0.722 0.704 0.718
Ce 0.722 0.796 0.218
Ce 0.793 0.069 0.994
Ce 0.793 0.431 0.494
Ce 0.950 0.616 0.092
Ce 0.950 0.884 0.592
Pu 0.002 0.096 0.783
Pu 0.002 0.404 0.283
Pu 0.998 0.596 0.717
Pu 0.998 0.904 0.217
Ge 0.390 0.578 0.160
Ge 0.390 0.922 0.660
Ge 0.610 0.078 0.340
Ge 0.610 0.422 0.840

# 11
This entry pairs a crystal structure of Ce3Pu2Ge with its computed powder X-ray diffraction pattern. Radiation: Cu Kα. Structure: a DFT-relaxed cell (PBE, Alexandria).
Neutral-atom scattering factors, no anomalous dispersion.

Most intense lines, 10 to 90 degrees two-theta, by intensity:
Position (°2θ)  intensity
34.2  100
34.8  88
61.6  34
49.6  33
14.1  21
61.2  19
82.5  15
37.2  13
72.0  12
62.7  11

Crystal structure
a = 5.244 Å, b = 5.244 Å, c = 6.269 Å
α = 90.00°, β = 90.00°, γ = 120.00°
Atoms (fractional coordinates):
Ce 0.000 0.000 0.000
Ce 0.333 0.667 0.654
Ce 0.667 0.333 0.346
Pu 0.333 0.667 0.106
Pu 0.667 0.333 0.894
Ge 0.000 0.000 0.500

# 12
This entry pairs a crystal structure of CePuTlGe with its computed powder X-ray diffraction pattern. Radiation: Cu Kα. Structure: a DFT-relaxed cell (PBE, Alexandria).
Neutral-atom scattering factors, no anomalous dispersion.

Most intense lines, 10 to 90 degrees two-theta, by intensity:
Position (°2θ)  intensity
33.5  100
37.8  39
65.5  29
56.8  18
28.4  17
54.5  14
40.8  12
70.3  11
49.2  9
58.9  9

Crystal structure
a = 3.365 Å, b = 3.365 Å, c = 8.852 Å
α = 90.00°, β = 90.00°, γ = 90.00°
Atoms (fractional coordinates):
Ce 0.000 0.000 0.000
Pu 0.000 0.000 0.555
Tl 0.500 0.500 0.279
Ge 0.500 0.500 0.774

# 13
This entry pairs a crystal structure of Ce3Ge2Rh2 with its computed powder X-ray diffraction pattern. Radiation: Cu Kα. Structure: a DFT-relaxed cell (PBE, Alexandria).
Neutral-atom scattering factors, no anomalous dispersion.

Most intense lines, 10 to 90 degrees two-theta, by intensity:
Position (°2θ)  intensity
39.7  100
37.1  87
34.1  60
33.3  59
35.0  52
33.9  45
40.8  38
58.3  25
34.6  24
56.3  24

Crystal structure
a = 5.598 Å, b = 8.065 Å, c = 13.272 Å
α = 90.00°, β = 90.00°, γ = 90.00°
Atoms (fractional coordinates):
Ce 0.136 0.239 0.250
Ce 0.136 0.261 0.750
Ce 0.344 0.602 0.098
Ce 0.344 0.602 0.402
Ce 0.344 0.898 0.598
Ce 0.344 0.898 0.902
Ce 0.656 0.102 0.098
Ce 0.656 0.102 0.402
Ce 0.656 0.398 0.598
Ce 0.656 0.398 0.902
Ce 0.864 0.739 0.250
Ce 0.864 0.761 0.750
Ge 0.177 0.250 0.000
Ge 0.177 0.250 0.500
Ge 0.370 0.610 0.750
Ge 0.370 0.890 0.250
Ge 0.630 0.110 0.750
Ge 0.630 0.390 0.250
Ge 0.823 0.750 0.000
Ge 0.823 0.750 0.500
Rh 0.122 0.543 0.593
Rh 0.122 0.543 0.907
Rh 0.122 0.957 0.093
Rh 0.122 0.957 0.407
Rh 0.878 0.043 0.593
Rh 0.878 0.043 0.907
Rh 0.878 0.457 0.093
Rh 0.878 0.457 0.407